The following is a theoretical powder diffraction line list of Cd4Fe6F19. It was derived from a GGA+U-relaxed structure, using Cu Kα, 1.54184 Å.
Neutral-atom scattering factors, no anomalous dispersion.

Cell lengths 9.3512, 9.3512, 9.3512 Å; angles 90.00, 90.00, 90.00 degrees
Space group I23 (No. 197)
Asymmetric unit:
Cd1 0.1446 0.1446 0.8554 x8
Fe1 0.0000 0.3380 0.5000 x12
F1 0.0000 0.0000 0.0000 x2
F2 0.0000 0.0000 0.3334 x12
F3 0.0488 0.3193 0.7108 x24

Principal peaks in the range 15° ≤ 2θ ≤ 90°, sorted by position:
2θ = 23.3°, d 3.818, I = 100, (2 1 1)
2θ = 30.2°, d 2.957, I = 68, (3 1 0)
2θ = 33.2°, d 2.699, I = 37, (2 2 2)
2θ = 35.9°, d 2.499, I = 31, (3 2 1)
2θ = 40.9°, d 2.204, I = 42, (3 3 0)
2θ = 49.7°, d 1.834, I = 49, (4 1 3)
2θ = 53.7°, d 1.707, I = 38, (5 1 2)
2θ = 59.3°, d 1.559, I = 23, (6 0 0)